For Ho5ScAs6, a DFT-relaxed cell (PBE, Alexandria) gives the simulated powder diffraction line list in this record (Cu Kα X-rays).

Principal peaks in the range 2θ = 5–70°, by intensity:
h k l	2θ/deg	I (rel.)
1 3 1	31.10	100
2 0 2	44.56	74
0 0 4	55.33	26
2 0 0	26.85	17
4 0 -4	64.85	12
3 3 1	52.79	8
1 1 0	15.19	2
1 1 -1	17.04	2

Atomic structure:
```
data_Ho5ScAs6
_chemical_formula_sum 'Ho10 Sc2 As12'
_space_group_name_H-M_alt 'C 1 2/m 1'
_space_group_IT_number 12
_cell_length_a 7.0463
_cell_length_b 12.1995
_cell_length_c 7.0432
_cell_angle_alpha 90.00
_cell_angle_beta 109.50
_cell_angle_gamma 90.00
loop_
_space_group_symop_operation_xyz
'x,y,z'
'-x,-y,-z'
'-x,y,-z'
'x,-y,z'
'x+1/2,y+1/2,z'
'-x+1/2,-y+1/2,-z'
'-x+1/2,y+1/2,-z'
'x+1/2,-y+1/2,z'
loop_
_atom_site_label
_atom_site_fract_x
_atom_site_fract_y
_atom_site_fract_z
Ho1 0.0000 0.0000 0.0000
Ho2 0.0000 0.1661 0.5000
Ho3 0.0000 0.3317 0.0000
Sc1 0.0000 0.5000 0.5000
As1 0.2441 0.5000 0.2534
As2 0.2448 0.3367 0.7451
```


For Ho8As3Se4, a DFT-relaxed cell (PBE, Alexandria) gives the simulated powder diffraction line list in this record (Cu Kα X-rays).

Principal peaks in the range 2θ = 5–70°, by intensity:
h k l	2θ/deg	I (rel.)
0 4 0	31.25	100
0 4 2	44.81	92
4 0 -2	31.34	50
2 2 -2	27.00	47
4 4 -4	55.72	19
4 4 0	55.62	19
4 0 -4	44.88	18
2 2 -4	53.05	11

Atomic structure:
```
data_Ho8As3Se4
_chemical_formula_sum 'Ho16 As6 Se8'
_space_group_name_H-M_alt 'C 1 2/m 1'
_space_group_IT_number 12
_cell_length_a 11.4177
_cell_length_b 11.4416
_cell_length_c 8.0779
_cell_angle_alpha 90.00
_cell_angle_beta 134.83
_cell_angle_gamma 90.00
loop_
_space_group_symop_operation_xyz
'x,y,z'
'-x,-y,-z'
'-x,y,-z'
'x,-y,z'
'x+1/2,y+1/2,z'
'-x+1/2,-y+1/2,-z'
'-x+1/2,y+1/2,-z'
'x+1/2,-y+1/2,z'
loop_
_atom_site_label
_atom_site_fract_x
_atom_site_fract_y
_atom_site_fract_z
Ho1 0.0000 0.2460 0.0000
Ho2 0.0000 0.2479 0.5000
Ho3 0.2424 0.0000 0.4943
Ho4 0.2466 0.0000 0.9996
As1 0.0000 0.0000 0.0000
As2 0.2500 0.2500 0.5000
Se1 0.0000 0.5000 0.0000
Se2 0.0000 0.5000 0.5000
Se3 0.2500 0.2500 0.0000
```


For Tb2HoAs3, a DFT-relaxed cell (PBE, Alexandria) gives the simulated powder diffraction line list in this record (Cu Kα X-rays).

Principal peaks in the range 2θ = 5–70°, by intensity:
h k l	2θ/deg	I (rel.)
1 1 0	30.65	100
2 0 0	43.90	75
2 0 6	54.49	26
1 0 3	26.46	23
2 2 0	63.82	12
2 1 3	51.99	11

Atomic structure:
```
data_Tb2HoAs3
_chemical_formula_sum 'Tb4 Ho2 As6'
_space_group_name_H-M_alt 'I 4/m m m'
_space_group_IT_number 139
_space_group_name_Hall '-I 4 2'
_cell_length_a 4.1248
_cell_length_b 4.1248
_cell_length_c 17.5043
_cell_angle_alpha 90.00
_cell_angle_beta 90.00
_cell_angle_gamma 90.00
loop_
_atom_site_label
_atom_site_fract_x
_atom_site_fract_y
_atom_site_fract_z
Tb1 0.0000 0.0000 0.1666
Ho1 0.0000 0.0000 0.5000
As1 0.0000 0.0000 0.0000
As2 0.0000 0.0000 0.3340
```


For Tb5Ho3As8, a DFT-relaxed cell (PBE, Alexandria) gives the simulated powder diffraction line list in this record (Cu Kα X-rays).

Principal peaks in the range 2θ = 5–70°, by intensity:
h k l	2θ/deg	I (rel.)
0 2 4	30.66	100
2 2 0	43.91	75
4 0 4	54.51	26
2 0 2	26.47	23
0 4 8	63.85	12
2 2 6	52.01	11

Atomic structure:
```
data_Tb5Ho3As8
_chemical_formula_sum 'Tb15 Ho9 As24'
_space_group_name_H-M_alt 'R -3 m'
_space_group_IT_number 166
_space_group_name_Hall '-R 3 2"'
_cell_length_a 8.2473
_cell_length_b 8.2473
_cell_length_c 20.2016
_cell_angle_alpha 90.00
_cell_angle_beta 90.00
_cell_angle_gamma 120.00
loop_
_atom_site_label
_atom_site_fract_x
_atom_site_fract_y
_atom_site_fract_z
Tb1 0.0000 0.0000 0.0000
Tb2 0.0000 0.0000 0.5000
Tb3 0.0000 0.5000 0.0000
Ho1 0.0000 0.5000 0.5000
As1 0.0000 0.0000 0.2492
As2 0.0011 0.5005 0.7505
```


For Ho2TeAs, a DFT-relaxed cell (PBE, Alexandria) gives the simulated powder diffraction line list in this record (Cu Kα X-rays).

Principal peaks in the range 2θ = 5–70°, by intensity:
h k l	2θ/deg	I (rel.)
1 0 4	29.93	100
1 1 0	43.32	38
0 1 8	42.36	34
0 2 4	53.54	20
1 1 12	69.85	12
2 0 8	62.19	11
0 1 2	26.03	8
0 1 5	32.57	7

Atomic structure:
```
data_Ho2TeAs
_chemical_formula_sum 'Ho6 Te3 As3'
_space_group_name_H-M_alt 'R -3 m'
_space_group_IT_number 166
_space_group_name_Hall '-R 3 2"'
_cell_length_a 4.1776
_cell_length_b 4.1776
_cell_length_c 21.1383
_cell_angle_alpha 90.00
_cell_angle_beta 90.00
_cell_angle_gamma 120.00
loop_
_atom_site_label
_atom_site_fract_x
_atom_site_fract_y
_atom_site_fract_z
Ho1 0.0000 0.0000 0.2390
Te1 0.0000 0.0000 0.0000
As1 0.0000 0.0000 0.5000
```


For Ho3TeAs2, a DFT-relaxed cell (PBE, Alexandria) gives the simulated powder diffraction line list in this record (Cu Kα X-rays).

Principal peaks in the range 2θ = 5–70°, by intensity:
h k l	2θ/deg	I (rel.)
2 2 2	35.63	100
0 4 0	31.80	29
0 1 1	12.88	27
0 2 0	15.74	18
0 2 2	25.92	16
0 4 4	53.25	13
0 1 3	31.92	11
4 4 0	59.82	11

Atomic structure:
```
data_Ho3TeAs2
_chemical_formula_sum 'Ho12 Te4 As8'
_space_group_name_H-M_alt 'I m m a'
_space_group_IT_number 74
_space_group_name_Hall '-I 2b 2'
_cell_length_a 7.4065
_cell_length_b 11.2528
_cell_length_c 8.6847
_cell_angle_alpha 90.00
_cell_angle_beta 90.00
_cell_angle_gamma 90.00
loop_
_atom_site_label
_atom_site_fract_x
_atom_site_fract_y
_atom_site_fract_z
Ho1 0.2283 0.0000 0.0000
Ho2 0.2500 0.2500 0.2500
Te1 0.0000 0.2500 0.9388
As1 0.0000 0.0534 0.2862
```


For HoTh4As6, a DFT-relaxed cell (PBE, Alexandria) gives the simulated powder diffraction line list in this record (Cu Kα X-rays).

Principal peaks in the range 2θ = 5–70°, by intensity:
h k l	2θ/deg	I (rel.)
3 0 0	26.43	100
2 1 4	34.23	74
2 2 3	36.00	69
1 3 1	32.52	68
1 1 3	24.00	61
3 2 4	46.58	60
0 2 4	30.47	60
5 3 2	65.93	21

Atomic structure:
```
data_HoTh4As6
_chemical_formula_sum 'Ho6 Th24 As36'
_space_group_name_H-M_alt 'R -3 c'
_space_group_IT_number 167
_space_group_name_Hall '-R 3 2"c'
_cell_length_a 11.6796
_cell_length_b 11.6796
_cell_length_c 14.4039
_cell_angle_alpha 90.00
_cell_angle_beta 90.00
_cell_angle_gamma 120.00
loop_
_atom_site_label
_atom_site_fract_x
_atom_site_fract_y
_atom_site_fract_z
Ho1 0.0000 0.0000 0.0000
Th1 0.0000 0.0000 0.2500
Th2 0.0000 0.3838 0.2500
As1 0.0305 0.2080 0.3864
```


For HoTh3As4, a DFT-relaxed cell (PBE, Alexandria) gives the simulated powder diffraction line list in this record (Cu Kα X-rays).

Principal peaks in the range 2θ = 5–70°, by intensity:
h k l	2θ/deg	I (rel.)
2 0 0	29.93	100
2 2 0	42.83	76
1 1 1	25.84	39
2 2 2	53.13	27
3 1 1	50.70	20
4 0 0	62.18	13
3 3 1	68.49	9
1 0 0	14.83	1

Atomic structure:
```
data_HoTh3As4
_chemical_formula_sum 'Ho1 Th3 As4'
_space_group_name_H-M_alt 'P m -3 m'
_space_group_IT_number 221
_space_group_name_Hall '-P 4 2 3'
_cell_length_a 5.9717
_cell_length_b 5.9717
_cell_length_c 5.9717
_cell_angle_alpha 90.00
_cell_angle_beta 90.00
_cell_angle_gamma 90.00
loop_
_atom_site_label
_atom_site_fract_x
_atom_site_fract_y
_atom_site_fract_z
Ho1 0.0000 0.0000 0.0000
Th1 0.0000 0.5000 0.5000
As1 0.0000 0.0000 0.5000
As2 0.5000 0.5000 0.5000
```


For Ho3Th2UAs6, a DFT-relaxed cell (PBE, Alexandria) gives the simulated powder diffraction line list in this record (Cu Kα X-rays).

Principal peaks in the range 2θ = 5–70°, by intensity:
h k l	2θ/deg	I (rel.)
1 1 -2	30.44	100
0 2 0	43.58	75
2 0 2	26.28	35
6 2 0	54.09	27
5 1 -4	51.61	18
2 2 -4	63.33	12
6 0 -6	69.79	7
2 0 -1	13.05	2

Atomic structure:
```
data_Ho3Th2UAs6
_chemical_formula_sum 'Ho6 Th4 U2 As12'
_space_group_name_H-M_alt 'C 1 2/m 1'
_space_group_IT_number 12
_cell_length_a 18.1087
_cell_length_b 4.1513
_cell_length_c 8.3098
_cell_angle_alpha 90.00
_cell_angle_beta 103.28
_cell_angle_gamma 90.00
loop_
_space_group_symop_operation_xyz
'x,y,z'
'-x,-y,-z'
'-x,y,-z'
'x,-y,z'
'x+1/2,y+1/2,z'
'-x+1/2,-y+1/2,-z'
'-x+1/2,y+1/2,-z'
'x+1/2,-y+1/2,z'
loop_
_atom_site_label
_atom_site_fract_x
_atom_site_fract_y
_atom_site_fract_z
Ho1 0.0000 0.0000 0.0000
Ho2 0.1680 0.5000 0.3329
Th1 0.1649 0.5000 0.8309
U1 0.0000 0.0000 0.5000
As1 0.0034 0.5000 0.2524
As2 0.1651 0.0000 0.0883
As3 0.1661 0.0000 0.5752
```


For Ho3U5As8, a DFT-relaxed cell (PBE, Alexandria) gives the simulated powder diffraction line list in this record (Cu Kα X-rays).

Principal peaks in the range 2θ = 5–70°, by intensity:
h k l	2θ/deg	I (rel.)
0 2 4	30.93	100
2 0 8	44.10	38
2 2 0	44.51	37
2 0 2	26.78	28
4 0 4	55.18	20
0 4 8	64.45	13
0 0 6	26.46	10
2 2 6	52.53	10

Atomic structure:
```
data_Ho3U5As8
_chemical_formula_sum 'Ho9 U15 As24'
_space_group_name_H-M_alt 'R -3 m'
_space_group_IT_number 166
_space_group_name_Hall '-R 3 2"'
_cell_length_a 8.1424
_cell_length_b 8.1424
_cell_length_c 20.2096
_cell_angle_alpha 90.00
_cell_angle_beta 90.00
_cell_angle_gamma 120.00
loop_
_atom_site_label
_atom_site_fract_x
_atom_site_fract_y
_atom_site_fract_z
Ho1 0.0000 0.5000 0.0000
U1 0.0000 0.0000 0.0000
U2 0.0000 0.0000 0.5000
U3 0.0000 0.5000 0.5000
As1 0.0000 0.0000 0.2497
As2 0.0002 0.5001 0.2502
```


For Ho2UAs3, a DFT-relaxed cell (PBE, Alexandria) gives the simulated powder diffraction line list in this record (Cu Kα X-rays).

Principal peaks in the range 2θ = 5–70°, by intensity:
h k l	2θ/deg	I (rel.)
1 1 0	30.87	100
1 1 6	44.32	74
0 0 6	31.01	49
1 0 3	26.69	47
2 0 6	54.99	40
2 0 0	44.22	37
2 1 3	52.40	16
2 2 0	64.32	12

Atomic structure:
```
data_Ho2UAs3
_chemical_formula_sum 'Ho4 U2 As6'
_space_group_name_H-M_alt 'I 4/m m m'
_space_group_IT_number 139
_space_group_name_Hall '-I 4 2'
_cell_length_a 4.0965
_cell_length_b 4.0965
_cell_length_c 17.3036
_cell_angle_alpha 90.00
_cell_angle_beta 90.00
_cell_angle_gamma 90.00
loop_
_atom_site_label
_atom_site_fract_x
_atom_site_fract_y
_atom_site_fract_z
Ho1 0.0000 0.0000 0.1677
U1 0.0000 0.0000 0.5000
As1 0.0000 0.0000 0.0000
As2 0.0000 0.0000 0.3344
```


For YHo3As4, a DFT-relaxed cell (PBE, Alexandria) gives the simulated powder diffraction line list in this record (Cu Kα X-rays).

Principal peaks in the range 2θ = 5–70°, by intensity:
h k l	2θ/deg	I (rel.)
2 0 0	30.82	100
2 2 0	44.14	74
2 2 2	54.80	26
1 1 1	26.60	17
4 0 0	64.20	12
3 1 1	52.28	8
1 0 0	15.27	3
1 1 0	21.66	3

Atomic structure:
```
data_YHo3As4
_chemical_formula_sum 'Y1 Ho3 As4'
_space_group_name_H-M_alt 'P m -3 m'
_space_group_IT_number 221
_space_group_name_Hall '-P 4 2 3'
_cell_length_a 5.8032
_cell_length_b 5.8032
_cell_length_c 5.8032
_cell_angle_alpha 90.00
_cell_angle_beta 90.00
_cell_angle_gamma 90.00
loop_
_atom_site_label
_atom_site_fract_x
_atom_site_fract_y
_atom_site_fract_z
Y1 0.0000 0.0000 0.0000
Ho1 0.0000 0.5000 0.5000
As1 0.0000 0.0000 0.5000
As2 0.5000 0.5000 0.5000
```


For HoZr2As4, a DFT-relaxed cell (PBE, Alexandria) gives the simulated powder diffraction line list in this record (Cu Kα X-rays).

Principal peaks in the range 2θ = 5–70°, by intensity:
h k l	2θ/deg	I (rel.)
1 3 1	31.82	100
1 3 2	34.14	57
1 1 5	43.09	52
0 2 3	25.14	46
0 2 4	31.37	40
1 5 2	44.47	38
0 6 3	47.39	36
2 0 0	46.77	28

Atomic structure:
```
data_HoZr2As4
_chemical_formula_sum 'Ho4 Zr8 As16'
_space_group_name_H-M_alt 'C m c m'
_space_group_IT_number 63
_space_group_name_Hall '-C 2c 2'
_cell_length_a 3.8848
_cell_length_b 12.9114
_cell_length_c 12.7142
_cell_angle_alpha 90.00
_cell_angle_beta 90.00
_cell_angle_gamma 90.00
loop_
_atom_site_label
_atom_site_fract_x
_atom_site_fract_y
_atom_site_fract_z
Ho1 0.0000 0.1076 0.2500
Zr1 0.0000 0.3650 0.0563
As1 0.0000 0.0000 0.0000
As2 0.0000 0.2631 0.6331
As3 0.0000 0.4436 0.2500
```